RbCa2GaS4: simulated X-ray diffraction stick pattern (CuKα), based on DFT lattice parameters and positions (PBE).

Structure:
abc: 8.3838 8.4240 11.5741
angles: 90.00 90.00 90.00
Space group Imma (No. 74)
Unique sites:
Rb: 0.2500 0.2500 0.2500 x4
Ca: 0.0000 0.0000 0.0000 x4
Ca: 0.2500 0.2500 0.7500 x4
Ga: 0.0000 0.0000 0.5000 x4
S: 0.0000 0.0241 0.6927 x8
S: 0.2224 0.2500 0.9855 x8

Principal peaks in the range 15 to 90 degrees two-theta, sorted by position:
- 24.9 deg, rel. 15
- 26.2 deg, rel. 34
- 30.1 deg, rel. 100
- 30.9 deg, rel. 34
- 42.9 deg, rel. 17
- 43.2 deg, rel. 17
- 43.7 deg, rel. 47
- 52.2 deg, rel. 15
- 53.8 deg, rel. 13
- 54.0 deg, rel. 11
- 62.5 deg, rel. 10
- 71.4 deg, rel. 10